The following is a computed X-ray diffraction stick pattern of Zr4Br4O. It was derived from a structure optimized by DFT (PBE), using Cu Kα (weighted mean of Kα1 and Kα2).
No peak broadening, texture or thermal motion is included.

abc: 19.717 19.717 19.717
angles: 10.51 10.51 10.51
Fractional positions:
Zr  0.000  0.000  0.000
Zr  0.207  0.207  0.207
Zr  0.498  0.498  0.498
Zr  0.706  0.706  0.706
Br  0.302  0.302  0.302
Br  0.405  0.405  0.405
Br  0.800  0.800  0.800
Br  0.908  0.908  0.908
O  0.535  0.535  0.535

Top 10 peaks for 10° ≤ 2θ ≤ 80°, low angle first:
2θ/deg  I (rel.)
18.1  13
29.2  17
32.4  100
35.8  17
42.2  40
50.5  31
61.3  22
64.0  10
67.9  10
70.9  14